1.
Theoretical powder diffraction line list
Compound: SrZnBi2
Radiation: copper Kα
Structure: a DFT-relaxed cell (PBE, the Materials Project)
Intensities are scaled so that the largest is 100.

Structural model:
```
data_SrZnBi2
_chemical_formula_sum 'Sr4 Zn4 Bi8'
_symmetry_space_group_name_H-M 'I 4/m m m'
_symmetry_Int_Tables_number 139
_symmetry_space_group_name_Hall '-I 4 2'
_cell_length_a 4.6344
_cell_length_b 4.6344
_cell_length_c 22.6355
_cell_angle_alpha 90.00
_cell_angle_beta 90.00
_cell_angle_gamma 90.00
loop_
_atom_site_label
_atom_site_fract_x
_atom_site_fract_y
_atom_site_fract_z
Sr1 0.0000 0.0000 0.1212
Zn1 0.0000 0.5000 0.2500
Bi1 0.0000 0.0000 0.3282
Bi2 0.0000 0.5000 0.0000
```

Peak list (10 most intense, 15 to 90 degrees two-theta, by intensity)
hkl 1 1 4, 31.55°, rel. 100; hkl 2 0 0, 38.87°, rel. 45; hkl 1 1 2, 28.35°, rel. 37; hkl 1 1 8, 42.19°, rel. 27; hkl 1 0 5, 27.54°, rel. 27; hkl 3 1 4, 65.83°, rel. 26; hkl 0 0 6, 23.58°, rel. 25; hkl 1 0 3, 22.52°, rel. 23; hkl 2 0 6, 45.96°, rel. 18; hkl 1 0 9, 40.82°, rel. 18

2.
Theoretical powder diffraction line list
Compound: Tm2TiCuO6
Radiation: copper Kα
Structure: a DFT-relaxed cell (PBE, the Materials Project)
Intensities are scaled so that the largest is 100.

Structural model:
```
data_Tm2TiCuO6
_chemical_formula_sum 'Tm2 Ti1 Cu1 O6'
_symmetry_space_group_name_H-M 'P -6 m 2'
_symmetry_Int_Tables_number 187
_symmetry_space_group_name_Hall 'P -6 2'
_cell_length_a 3.5732
_cell_length_b 3.5732
_cell_length_c 11.2650
_cell_angle_alpha 90.00
_cell_angle_beta 90.00
_cell_angle_gamma 120.00
loop_
_atom_site_label
_atom_site_fract_x
_atom_site_fract_y
_atom_site_fract_z
Tm1 0.0000 0.0000 0.2258
Ti1 0.6667 0.3333 0.5000
Cu1 0.3333 0.6667 0.0000
O1 0.0000 0.0000 0.0000
O2 0.0000 0.0000 0.5000
O3 0.3333 0.6667 0.1682
O4 0.6667 0.3333 0.3330
```

Peak list (10 most intense, 15 to 90 degrees two-theta, by intensity)
hkl 1 0 2, 33.03°, rel. 100; hkl 1 0 0, 28.85°, rel. 51; hkl 1 1 0, 51.13°, rel. 39; hkl 0 0 2, 15.73°, rel. 37; hkl 1 0 4, 43.45°, rel. 31; hkl 0 0 4, 31.77°, rel. 27; hkl 1 1 4, 61.46°, rel. 23; hkl 1 0 1, 29.94°, rel. 23; hkl 1 0 5, 50.08°, rel. 18; hkl 1 0 3, 37.67°, rel. 18

3.
Theoretical powder diffraction line list
Compound: ScPaOs2
Radiation: copper Kα
Structure: a DFT-relaxed cell (PBE, the Materials Project)
Intensities are scaled so that the largest is 100.

Structural model:
```
data_ScPaOs2
_chemical_formula_sum 'Sc4 Pa4 Os8'
_symmetry_space_group_name_H-M 'F m -3 m'
_symmetry_Int_Tables_number 225
_symmetry_space_group_name_Hall '-F 4 2 3'
_cell_length_a 6.7191
_cell_length_b 6.7191
_cell_length_c 6.7191
_cell_angle_alpha 90.00
_cell_angle_beta 90.00
_cell_angle_gamma 90.00
loop_
_atom_site_label
_atom_site_fract_x
_atom_site_fract_y
_atom_site_fract_z
Sc1 0.0000 0.0000 0.0000
Pa1 0.0000 0.0000 0.5000
Os1 0.2500 0.2500 0.2500
```

Peak list (10 most intense, 15 to 90 degrees two-theta, by intensity)
hkl 2 2 0, 37.87°, rel. 100; hkl 4 2 2, 68.40°, rel. 36; hkl 1 1 1, 22.93°, rel. 18; hkl 4 0 0, 54.64°, rel. 18; hkl 4 4 0, 80.94°, rel. 11; hkl 3 1 1, 44.73°, rel. 10; hkl 3 3 1, 60.02°, rel. 4; hkl 5 3 1, 85.50°, rel. 4; hkl 5 1 1, 73.19°, rel. 3; hkl 2 0 0, 26.53°, rel. 3